This entry pairs a crystal structure of VPO5 with its calculated X-ray diffraction stick pattern. Radiation: Cu Kα X-rays. Structure: DFT lattice parameters and positions (PBE+U).
Peak positions follow from Bragg's law for the DFT cell and can differ from measured ones.

Most intense lines, 2θ from 15° to 90°, in order of falling intensity:
2theta	I (rel.)
19.05	100
28.56	84
34.55	48
23.82	34
41.36	19
47.81	16

Structure:
Unit cell a=6.2516 b=6.2516 c=4.6598 alpha=90.00 beta=90.00 gamma=90.00
Fractional coordinates of all 14 atoms:
V1 0.2500 0.2500 0.1085
V2 0.7500 0.7500 0.8915
P1 0.2500 0.7500 0.0000
P2 0.7500 0.2500 0.0000
O1 0.0498 0.7500 0.8036
O2 0.2500 0.2500 0.7649
O3 0.2500 0.5498 0.1964
O4 0.2500 0.9502 0.1964
O5 0.4502 0.7500 0.8036
O6 0.5498 0.2500 0.1964
O7 0.7500 0.0498 0.8036
O8 0.7500 0.4502 0.8036
O9 0.7500 0.7500 0.2351
O10 0.9502 0.2500 0.1964


This entry pairs a crystal structure of RbCr2FeO8 with its calculated X-ray diffraction stick pattern. Radiation: Cu Kα X-rays. Structure: DFT lattice parameters and positions (PBE+U).
Peak positions follow from Bragg's law for the DFT cell and can differ from measured ones.

Most intense lines, 2θ from 15° to 90°, in order of falling intensity:
2theta	I (rel.)
28.22	100
32.27	35
22.28	23
25.79	22
26.23	22
23.77	21

Structure:
Unit cell a=14.9712 b=5.5443 c=8.9779 alpha=90.00 beta=90.00 gamma=90.00
Fractional coordinates of all 48 atoms:
Rb1 0.1205 0.2500 0.0506
Rb2 0.3795 0.7500 0.5506
Rb3 0.6205 0.2500 0.4494
Rb4 0.8795 0.7500 0.9494
Cr1 0.0633 0.7500 0.3184
Cr2 0.1639 0.7500 0.7557
Cr3 0.3361 0.2500 0.2557
Cr4 0.4367 0.2500 0.8184
Cr5 0.5633 0.7500 0.1816
Cr6 0.6639 0.7500 0.7443
Cr7 0.8361 0.2500 0.2443
Cr8 0.9367 0.2500 0.6816
Fe1 0.1564 0.2500 0.5069
Fe2 0.3436 0.7500 0.0069
Fe3 0.6564 0.2500 0.9931
Fe4 0.8436 0.7500 0.4931
O1 0.0299 0.2500 0.5811
O2 0.0403 0.7500 0.1412
O3 0.0580 0.7500 0.7876
O4 0.1246 0.5023 0.3561
O5 0.1246 0.9977 0.3561
O6 0.1924 0.5036 0.6571
O7 0.1924 0.9964 0.6571
O8 0.2175 0.7500 0.9221
O9 0.2825 0.2500 0.4221
O10 0.3076 0.0036 0.1571
O11 0.3076 0.4964 0.1571
O12 0.3754 0.0023 0.8561
O13 0.3754 0.4977 0.8561
O14 0.4420 0.2500 0.2876
O15 0.4597 0.2500 0.6412
O16 0.4701 0.7500 0.0811
O17 0.5299 0.2500 0.9189
O18 0.5403 0.7500 0.3588
O19 0.5580 0.7500 0.7124
O20 0.6246 0.5023 0.1439
O21 0.6246 0.9977 0.1439
O22 0.6924 0.5036 0.8429
O23 0.6924 0.9964 0.8429
O24 0.7175 0.7500 0.5779
O25 0.7825 0.2500 0.0779
O26 0.8076 0.0036 0.3429
O27 0.8076 0.4964 0.3429
O28 0.8754 0.0023 0.6439
O29 0.8754 0.4977 0.6439
O30 0.9420 0.2500 0.2124
O31 0.9597 0.2500 0.8588
O32 0.9701 0.7500 0.4189


This entry pairs a crystal structure of Rb4V2S4O19 with its calculated X-ray diffraction stick pattern. Radiation: Cu Kα X-rays. Structure: DFT lattice parameters and positions (PBE+U).
Peak positions follow from Bragg's law for the DFT cell and can differ from measured ones.

Most intense lines, 2θ from 15° to 90°, in order of falling intensity:
2theta	I (rel.)
25.71	100
25.34	80
22.87	38
39.93	33
24.18	32
23.54	29

Structure:
Unit cell a=8.0300 b=11.0588 c=12.2907 alpha=77.86 beta=76.53 gamma=71.87
Fractional coordinates of all 58 atoms:
Rb1 0.0591 0.1694 0.0441
Rb2 0.2081 0.6587 0.5553
Rb3 0.3064 0.4546 0.1522
Rb4 0.4069 0.0317 0.3387
Rb5 0.5931 0.9683 0.6613
Rb6 0.6936 0.5454 0.8478
Rb7 0.7919 0.3413 0.4447
Rb8 0.9409 0.8306 0.9559
V1 0.1102 0.2243 0.6912
V2 0.4429 0.2872 0.8037
V3 0.5571 0.7128 0.1963
V4 0.8898 0.7757 0.3088
S1 0.0887 0.9976 0.6538
S2 0.2017 0.5223 0.8628
S3 0.2792 0.3192 0.4774
S4 0.4134 0.8220 0.0092
S5 0.5866 0.1780 0.9908
S6 0.7208 0.6808 0.5226
S7 0.7983 0.4777 0.1372
S8 0.9113 0.0024 0.3462
O1 0.0122 0.1360 0.5977
O2 0.0506 0.0634 0.2869
O3 0.0532 0.5960 0.8052
O4 0.0727 0.7120 0.2279
O5 0.1043 0.3646 0.5697
O6 0.1749 0.0325 0.7400
O7 0.1784 0.4001 0.9340
O8 0.2196 0.3146 0.3751
O9 0.2249 0.9220 0.5748
O10 0.2292 0.9004 0.0237
O11 0.2614 0.5999 0.9203
O12 0.2767 0.2338 0.7643
O13 0.3623 0.1885 0.5349
O14 0.3655 0.4696 0.7657
O15 0.3826 0.4108 0.4628
O16 0.3910 0.7443 0.2993
O17 0.4302 0.6872 0.0797
O18 0.4757 0.1339 0.9258
O19 0.4978 0.1859 0.1074
O20 0.5022 0.8141 0.8926
O21 0.5243 0.8661 0.0742
O22 0.5698 0.3128 0.9203
O23 0.6090 0.2557 0.7007
O24 0.6174 0.5892 0.5372
O25 0.6345 0.5304 0.2343
O26 0.6377 0.8115 0.4651
O27 0.7233 0.7662 0.2357
O28 0.7386 0.4001 0.0797
O29 0.7708 0.0996 0.9763
O30 0.7751 0.0780 0.4252
O31 0.7804 0.6854 0.6249
O32 0.8216 0.5999 0.0660
O33 0.8251 0.9675 0.2600
O34 0.8957 0.6354 0.4303
O35 0.9273 0.2880 0.7721
O36 0.9468 0.4040 0.1948
O37 0.9494 0.9366 0.7131
O38 0.9878 0.8640 0.4023


This entry pairs a crystal structure of MgV2In2O8 with its calculated X-ray diffraction stick pattern. Radiation: Cu Kα X-rays. Structure: DFT lattice parameters and positions (PBE+U).
Peak positions follow from Bragg's law for the DFT cell and can differ from measured ones.

Most intense lines, 2θ from 15° to 90°, in order of falling intensity:
2theta	I (rel.)
32.55	100
33.60	66
17.95	59
30.18	41
19.80	33
58.70	32

Structure:
Unit cell a=6.6230 b=5.3727 c=5.3727 alpha=66.89 beta=90.00 gamma=90.00
Fractional coordinates of all 13 atoms:
Mg1 0.0000 0.0000 0.0000
V1 0.0000 0.6810 0.6810
V2 0.5000 0.9846 0.9846
In1 0.2526 0.3427 0.3427
In2 0.7474 0.3427 0.3427
O1 0.0000 0.0742 0.5963
O2 0.0000 0.5963 0.0742
O3 0.2209 0.5806 0.5806
O4 0.2677 0.0998 0.0998
O5 0.5000 0.1268 0.6154
O6 0.5000 0.6154 0.1268
O7 0.7323 0.0998 0.0998
O8 0.7791 0.5806 0.5806


This entry pairs a crystal structure of SrNbCrInO6 with its calculated X-ray diffraction stick pattern. Radiation: Cu Kα X-rays. Structure: DFT lattice parameters and positions (PBE+U).
Peak positions follow from Bragg's law for the DFT cell and can differ from measured ones.

Most intense lines, 2θ from 15° to 90°, in order of falling intensity:
2theta	I (rel.)
31.68	100
56.43	38
45.42	35
66.18	20
75.24	16
39.06	9

Structure:
Unit cell a=5.6483 b=5.6483 c=5.6483 alpha=60.00 beta=60.00 gamma=60.00
Fractional coordinates of all 10 atoms:
Sr1 0.0000 0.0000 0.0000
Nb1 0.2500 0.2500 0.2500
Cr1 0.7500 0.7500 0.7500
In1 0.5000 0.5000 0.5000
O1 0.5008 0.5008 0.9992
O2 0.5008 0.9992 0.5008
O3 0.5008 0.9992 0.9992
O4 0.9992 0.5008 0.5008
O5 0.9992 0.5008 0.9992
O6 0.9992 0.9992 0.5008


This entry pairs a crystal structure of Ga2WO6 with its calculated X-ray diffraction stick pattern. Radiation: Cu Kα X-rays. Structure: DFT lattice parameters and positions (PBE+U).
Peak positions follow from Bragg's law for the DFT cell and can differ from measured ones.

Most intense lines, 2θ from 15° to 90°, in order of falling intensity:
2theta	I (rel.)
26.81	100
19.47	68
32.61	65
28.34	57
41.10	32
21.95	27

Structure:
Unit cell a=9.5370 b=9.5370 c=5.0393 alpha=94.43 beta=94.43 gamma=83.29
Fractional coordinates of all 36 atoms:
Ga1 0.0574 0.2070 0.7970
Ga2 0.1553 0.8447 0.7500
Ga3 0.2070 0.0574 0.2970
Ga4 0.3036 0.6964 0.2500
Ga5 0.6964 0.3036 0.7500
Ga6 0.7930 0.9426 0.7030
Ga7 0.8447 0.1553 0.2500
Ga8 0.9426 0.7930 0.2030
W1 0.1563 0.5061 0.6109
W2 0.4939 0.8437 0.8891
W3 0.5061 0.1563 0.1109
W4 0.8437 0.4939 0.3891
O1 0.0376 0.1423 0.1252
O2 0.0453 0.4435 0.2962
O3 0.1070 0.7341 0.4107
O4 0.1423 0.0376 0.6252
O5 0.1896 0.3362 0.7679
O6 0.1961 0.6444 0.8975
O7 0.2659 0.8930 0.0893
O8 0.3112 0.5215 0.4211
O9 0.3362 0.1896 0.2679
O10 0.3556 0.8039 0.6025
O11 0.4435 0.0453 0.7962
O12 0.4785 0.6888 0.0789
O13 0.5215 0.3112 0.9211
O14 0.5565 0.9547 0.2038
O15 0.6444 0.1961 0.3975
O16 0.6638 0.8104 0.7321
O17 0.6888 0.4785 0.5789
O18 0.7341 0.1070 0.9107
O19 0.8039 0.3556 0.1025
O20 0.8104 0.6638 0.2321
O21 0.8577 0.9624 0.3748
O22 0.8930 0.2659 0.5893
O23 0.9547 0.5565 0.7038
O24 0.9624 0.8577 0.8748


This entry pairs a crystal structure of MgMn3Zn2O8 with its calculated X-ray diffraction stick pattern. Radiation: Cu Kα X-rays. Structure: DFT lattice parameters and positions (PBE+U).
Peak positions follow from Bragg's law for the DFT cell and can differ from measured ones.

Most intense lines, 2θ from 15° to 90°, in order of falling intensity:
2theta	I (rel.)
16.94	100
34.79	49
38.84	35
33.81	34
48.86	26
61.11	26

Structure:
Unit cell a=5.3093 b=5.9030 c=6.0006 alpha=60.85 beta=87.46 gamma=89.96
Fractional coordinates of all 14 atoms:
Mg1 0.0000 0.0000 0.0000
Mn1 0.1919 0.4719 0.5556
Mn2 0.1920 0.9674 0.5563
Mn3 0.6809 0.2064 0.5823
Zn1 0.6181 0.4862 0.0234
Zn2 0.6839 0.7502 0.4943
O1 0.0100 0.2980 0.3975
O2 0.0516 0.8172 0.3598
O3 0.3287 0.1183 0.7609
O4 0.3487 0.6265 0.7434
O5 0.5574 0.1116 0.3417
O6 0.5571 0.5402 0.3415
O7 0.8193 0.3339 0.8028
O8 0.8194 0.8614 0.8029


Q: Number 4 is which compound?
A: MgV2In2O8


What did the fourth record say?
This entry pairs a crystal structure of MgV2In2O8 with its calculated X-ray diffraction stick pattern. Radiation: Cu Kα X-rays. Structure: DFT lattice parameters and positions (PBE+U).
Peak positions follow from Bragg's law for the DFT cell and can differ from measured ones.

Most intense lines, 2θ from 15° to 90°, in order of falling intensity:
2theta	I (rel.)
32.55	100
33.60	66
17.95	59
30.18	41
19.80	33
58.70	32

Structure:
Unit cell a=6.6230 b=5.3727 c=5.3727 alpha=66.89 beta=90.00 gamma=90.00
Fractional coordinates of all 13 atoms:
Mg1 0.0000 0.0000 0.0000
V1 0.0000 0.6810 0.6810
V2 0.5000 0.9846 0.9846
In1 0.2526 0.3427 0.3427
In2 0.7474 0.3427 0.3427
O1 0.0000 0.0742 0.5963
O2 0.0000 0.5963 0.0742
O3 0.2209 0.5806 0.5806
O4 0.2677 0.0998 0.0998
O5 0.5000 0.1268 0.6154
O6 0.5000 0.6154 0.1268
O7 0.7323 0.0998 0.0998
O8 0.7791 0.5806 0.5806


What did the third record say?
This entry pairs a crystal structure of Rb4V2S4O19 with its calculated X-ray diffraction stick pattern. Radiation: Cu Kα X-rays. Structure: DFT lattice parameters and positions (PBE+U).
Peak positions follow from Bragg's law for the DFT cell and can differ from measured ones.

Most intense lines, 2θ from 15° to 90°, in order of falling intensity:
2theta	I (rel.)
25.71	100
25.34	80
22.87	38
39.93	33
24.18	32
23.54	29

Structure:
Unit cell a=8.0300 b=11.0588 c=12.2907 alpha=77.86 beta=76.53 gamma=71.87
Fractional coordinates of all 58 atoms:
Rb1 0.0591 0.1694 0.0441
Rb2 0.2081 0.6587 0.5553
Rb3 0.3064 0.4546 0.1522
Rb4 0.4069 0.0317 0.3387
Rb5 0.5931 0.9683 0.6613
Rb6 0.6936 0.5454 0.8478
Rb7 0.7919 0.3413 0.4447
Rb8 0.9409 0.8306 0.9559
V1 0.1102 0.2243 0.6912
V2 0.4429 0.2872 0.8037
V3 0.5571 0.7128 0.1963
V4 0.8898 0.7757 0.3088
S1 0.0887 0.9976 0.6538
S2 0.2017 0.5223 0.8628
S3 0.2792 0.3192 0.4774
S4 0.4134 0.8220 0.0092
S5 0.5866 0.1780 0.9908
S6 0.7208 0.6808 0.5226
S7 0.7983 0.4777 0.1372
S8 0.9113 0.0024 0.3462
O1 0.0122 0.1360 0.5977
O2 0.0506 0.0634 0.2869
O3 0.0532 0.5960 0.8052
O4 0.0727 0.7120 0.2279
O5 0.1043 0.3646 0.5697
O6 0.1749 0.0325 0.7400
O7 0.1784 0.4001 0.9340
O8 0.2196 0.3146 0.3751
O9 0.2249 0.9220 0.5748
O10 0.2292 0.9004 0.0237
O11 0.2614 0.5999 0.9203
O12 0.2767 0.2338 0.7643
O13 0.3623 0.1885 0.5349
O14 0.3655 0.4696 0.7657
O15 0.3826 0.4108 0.4628
O16 0.3910 0.7443 0.2993
O17 0.4302 0.6872 0.0797
O18 0.4757 0.1339 0.9258
O19 0.4978 0.1859 0.1074
O20 0.5022 0.8141 0.8926
O21 0.5243 0.8661 0.0742
O22 0.5698 0.3128 0.9203
O23 0.6090 0.2557 0.7007
O24 0.6174 0.5892 0.5372
O25 0.6345 0.5304 0.2343
O26 0.6377 0.8115 0.4651
O27 0.7233 0.7662 0.2357
O28 0.7386 0.4001 0.0797
O29 0.7708 0.0996 0.9763
O30 0.7751 0.0780 0.4252
O31 0.7804 0.6854 0.6249
O32 0.8216 0.5999 0.0660
O33 0.8251 0.9675 0.2600
O34 0.8957 0.6354 0.4303
O35 0.9273 0.2880 0.7721
O36 0.9468 0.4040 0.1948
O37 0.9494 0.9366 0.7131
O38 0.9878 0.8640 0.4023